Entry 1:
Diffraction record for SrPrEuNiO6. The X-ray powder pattern is simulated, not measured: it uses a crystal structure in the Materials Project, relaxed with GGA+U and Cu Kα (λ = 1.5418 Å).
Lines closer than 0.1° are merged.

a = 8.106 Å, b = 8.106 Å, c = 8.106 Å
α = 90.00°, β = 90.00°, γ = 90.00°
Space group F-43m (No. 216)
Symmetry-distinct sites (fractional):
Sr 0.000 0.000 0.000 (multiplicity 4)
Pr 0.000 0.000 0.500 (multiplicity 4)
Eu 0.250 0.250 0.250 (multiplicity 4)
Ni 0.250 0.250 0.750 (multiplicity 4)
O 0.019 0.250 0.750 (multiplicity 24)

Top 10 peaks for 10 to 90 degrees two-theta, sorted by position:
2θ (°)  Rel. int.  h k l
18.96  10  1 1 1
31.21  100  2 2 0
36.77  8  3 1 1
38.47  2  2 2 2
44.72  31  4 0 0
48.98  5  3 3 1
55.54  39  4 2 2
65.09  18  4 4 0
73.95  17  6 2 0
82.43  6  4 4 4

Entry 2:
Diffraction record for Y4Si2Ni13Sb2O28. The X-ray powder pattern is simulated, not measured: it uses a crystal structure in the Materials Project, relaxed with GGA+U and Cu Kα (λ = 1.5418 Å).
Lines closer than 0.1° are merged.

a = 5.581 Å, b = 9.264 Å, c = 12.174 Å
α = 87.68°, β = 76.81°, γ = 79.89°
Space group P1 (No. 1)
Symmetry-distinct sites (fractional):
Y 0.000 0.000 0.000 (multiplicity 1)
Y 0.034 0.688 0.823 (multiplicity 1)
Y 0.446 0.689 0.999 (multiplicity 1)
Y 0.588 0.000 0.822 (multiplicity 1)
Si 0.277 0.053 0.411 (multiplicity 1)
Si 0.756 0.636 0.412 (multiplicity 1)
Ni 0.089 0.345 0.267 (multiplicity 1)
Ni 0.176 0.669 0.534 (multiplicity 1)
Ni 0.178 0.985 0.671 (multiplicity 1)
Ni 0.230 0.343 0.992 (multiplicity 1)
Ni 0.302 0.666 0.287 (multiplicity 1)
Ni 0.442 0.983 0.151 (multiplicity 1)
Ni 0.516 0.344 0.412 (multiplicity 1)
Ni 0.592 0.705 0.671 (multiplicity 1)
Ni 0.733 0.020 0.535 (multiplicity 1)
Ni 0.808 0.344 0.829 (multiplicity 1)
Ni 0.855 0.704 0.151 (multiplicity 1)
Ni 0.857 0.022 0.288 (multiplicity 1)
Ni 0.944 0.345 0.553 (multiplicity 1)
Sb 0.377 0.344 0.689 (multiplicity 1)
Sb 0.658 0.344 0.131 (multiplicity 1)
O 0.057 0.734 0.994 (multiplicity 1)
O 0.099 0.987 0.521 (multiplicity 1)
O 0.104 0.222 0.693 (multiplicity 1)
O 0.111 0.448 0.824 (multiplicity 1)
O 0.210 0.989 0.300 (multiplicity 1)
O 0.215 0.235 0.411 (multiplicity 1)
O 0.239 0.748 0.665 (multiplicity 1)
O 0.243 0.453 0.560 (multiplicity 1)
O 0.390 0.222 0.126 (multiplicity 1)
O 0.393 0.452 0.260 (multiplicity 1)
O 0.394 0.954 0.994 (multiplicity 1)
O 0.462 0.689 0.411 (multiplicity 1)
O 0.496 0.748 0.157 (multiplicity 1)
O 0.509 0.241 0.825 (multiplicity 1)
O 0.527 0.448 0.996 (multiplicity 1)
O 0.537 0.941 0.665 (multiplicity 1)
O 0.571 0.001 0.411 (multiplicity 1)
O 0.640 0.735 0.828 (multiplicity 1)
O 0.641 0.235 0.561 (multiplicity 1)
O 0.647 0.466 0.693 (multiplicity 1)
O 0.793 0.237 0.261 (multiplicity 1)
O 0.795 0.940 0.158 (multiplicity 1)
O 0.817 0.454 0.412 (multiplicity 1)
O 0.823 0.702 0.522 (multiplicity 1)
O 0.924 0.240 0.996 (multiplicity 1)
O 0.931 0.466 0.128 (multiplicity 1)
O 0.936 0.699 0.301 (multiplicity 1)
O 0.976 0.954 0.829 (multiplicity 1)

Top 10 peaks for 10 to 90 degrees two-theta, sorted by position:
2θ (°)  Rel. int.  h k l
29.38  100  0 3 0
31.02  50  1 0 4
32.34  25  2 1 1
33.45  80  -1 1 3
35.05  36  2 2 1
35.27  41  1 2 -3
35.75  27  2 -1 1
45.30  26  1 -3 4
56.48  21  3 1 5
57.23  23  1 5 -3

Entry 3:
Diffraction record for Sr6Co4O13. The X-ray powder pattern is simulated, not measured: it uses a crystal structure in the Materials Project, relaxed with GGA+U and Cu Kα (λ = 1.5418 Å).
Lines closer than 0.1° are merged.

a = 5.486 Å, b = 20.225 Å, c = 5.492 Å
α = 90.00°, β = 90.00°, γ = 90.00°
Space group Cmmm (No. 65)
Symmetry-distinct sites (fractional):
Sr 0.000 0.000 0.000 (multiplicity 2)
Sr 0.000 0.179 0.000 (multiplicity 4)
Sr 0.000 0.318 0.500 (multiplicity 4)
Sr 0.000 0.500 0.500 (multiplicity 2)
Co 0.000 0.094 0.500 (multiplicity 4)
Co 0.000 0.393 0.000 (multiplicity 4)
O 0.000 0.000 0.500 (multiplicity 2)
O 0.000 0.192 0.500 (multiplicity 4)
O 0.000 0.302 0.000 (multiplicity 4)
O 0.239 0.410 0.239 (multiplicity 16)

Top 10 peaks for 10 to 90 degrees two-theta, sorted by position:
2θ (°)  Rel. int.  h k l
31.96  100  1 5 1
32.63  64  2 0 0
42.47  24  2 6 0
44.81  12  0 10 0
46.81  41  2 0 2
56.52  12  2 10 0
57.80  37  3 5 1
66.81  13  2 10 2
68.30  10  0 0 4
77.81  10  4 0 2

Entry 4:
Diffraction record for Ba2AlV2F11. The X-ray powder pattern is simulated, not measured: it uses a crystal structure in the Materials Project, relaxed with GGA+U and Cu Kα (λ = 1.5418 Å).
Lines closer than 0.1° are merged.

a = 7.4810 Å, b = 7.4810 Å, c = 14.5700 Å
α = 90.00°, β = 90.00°, γ = 120.00°
Space group P3_2 (No. 145)
Symmetry-distinct sites (fractional):
Ba 0.1406 0.0113 0.0000 (multiplicity 3)
Ba 0.5188 0.1643 0.4657 (multiplicity 3)
Al 0.1782 0.5004 0.8752 (multiplicity 3)
V 0.1433 0.4374 0.3925 (multiplicity 3)
V 0.3350 0.3136 0.2182 (multiplicity 3)
F 0.0302 0.1293 0.1788 (multiplicity 3)
F 0.0570 0.7578 0.1952 (multiplicity 3)
F 0.0843 0.4172 0.9874 (multiplicity 3)
F 0.1598 0.7348 0.8719 (multiplicity 3)
F 0.2163 0.5385 0.2471 (multiplicity 3)
F 0.2490 0.5586 0.7546 (multiplicity 3)
F 0.2592 0.2441 0.3572 (multiplicity 3)
F 0.3563 0.1549 0.6913 (multiplicity 3)
F 0.3994 0.3921 0.0817 (multiplicity 3)
F 0.4204 0.0901 0.1676 (multiplicity 3)
F 0.5193 0.1617 0.9245 (multiplicity 3)

Top 10 peaks for 10 to 90 degrees two-theta, sorted by position:
2θ (°)  Rel. int.  h k l
22.88  100  1 0 3
24.57  71  2 -1 1
26.79  85  1 1 2
28.10  58  0 1 4
28.22  65  0 2 1
30.19  48  2 0 2
38.80  72  2 1 2
39.64  39  0 1 6
44.59  37  3 -2 4
48.69  44  2 2 0

Entry 5:
Diffraction record for La2NiWO6. The X-ray powder pattern is simulated, not measured: it uses a crystal structure in the Materials Project, relaxed with GGA+U and Cu Kα (λ = 1.5418 Å).
Lines closer than 0.1° are merged.

a = 8.024 Å, b = 8.024 Å, c = 8.024 Å
α = 90.00°, β = 90.00°, γ = 90.00°
Space group Fm-3m (No. 225)
Symmetry-distinct sites (fractional):
La 0.250 0.250 0.250 (multiplicity 8)
Ni 0.000 0.000 0.000 (multiplicity 4)
W 0.000 0.000 0.500 (multiplicity 4)
O 0.000 0.000 0.249 (multiplicity 24)

Top 10 peaks for 10 to 90 degrees two-theta, sorted by position:
2θ (°)  Rel. int.  h k l
19.16  12  1 1 1
31.54  100  2 2 0
37.16  7  3 1 1
45.20  29  4 0 0
49.52  3  3 3 1
56.16  40  4 2 2
59.90  3  3 3 3
65.85  18  4 4 0
74.84  17  6 2 0
83.47  6  4 4 4

Entry 6:
Diffraction record for LiVSiO4. The X-ray powder pattern is simulated, not measured: it uses a crystal structure in the Materials Project, relaxed with GGA+U and Cu Kα (λ = 1.5418 Å).
Lines closer than 0.1° are merged.

a = 13.9862 Å, b = 13.9862 Å, c = 9.5197 Å
α = 90.00°, β = 90.00°, γ = 120.00°
Space group R-3 (No. 148, hexagonal axes)
Symmetry-distinct sites (fractional):
Li 0.0161 0.2071 0.2495 (multiplicity 18)
V 0.0187 0.2187 0.5881 (multiplicity 18)
Si 0.0191 0.2060 0.9229 (multiplicity 18)
O 0.0080 0.3162 0.9339 (multiplicity 18)
O 0.0700 0.1962 0.7745 (multiplicity 18)
O 0.0947 0.2184 0.4242 (multiplicity 18)
O 0.0959 0.2043 0.0563 (multiplicity 18)

Top 10 peaks for 10 to 90 degrees two-theta, sorted by position:
2θ (°)  Rel. int.  h k l
12.66  28  1 1 0
20.04  29  0 1 2
21.54  100  2 1 1
22.02  28  3 0 0
25.47  85  2 2 0
30.95  91  2 -1 3
33.92  75  1 4 0
38.31  28  4 -2 3
48.45  39  6 -3 3
65.15  42  8 -7 3

Entry 7:
Diffraction record for Li2Mn3NbO8. The X-ray powder pattern is simulated, not measured: it uses a crystal structure in the Materials Project, relaxed with GGA+U and Cu Kα (λ = 1.5418 Å).
Lines closer than 0.1° are merged.

a = 6.073 Å, b = 5.882 Å, c = 10.797 Å
α = 90.00°, β = 123.53°, γ = 90.00°
Space group P2_1/c (No. 14)
Symmetry-distinct sites (fractional):
Li 0.113 0.005 0.367 (multiplicity 4)
Mn 0.497 0.748 0.248 (multiplicity 4)
Mn 0.500 0.000 0.000 (multiplicity 2)
Nb 0.000 0.000 0.000 (multiplicity 2)
O 0.223 0.742 0.500 (multiplicity 4)
O 0.254 0.217 0.996 (multiplicity 4)
O 0.263 0.001 0.233 (multiplicity 4)
O 0.309 0.003 0.773 (multiplicity 4)

Top 10 peaks for 10 to 90 degrees two-theta, sorted by position:
2θ (°)  Rel. int.  h k l
17.72  51  1 0 -2
18.02  100  0 1 1
33.14  13  1 0 2
33.52  19  0 1 3
34.60  18  2 1 -1
34.82  17  2 1 -3
40.07  33  0 0 4
42.81  52  2 2 -2
59.79  18  2 2 2
60.36  18  2 2 -6

Entry 8:
Diffraction record for Li9Mn2Co5O16. The X-ray powder pattern is simulated, not measured: it uses a crystal structure in the Materials Project, relaxed with GGA+U and Cu Kα (λ = 1.5418 Å).
Lines closer than 0.1° are merged.

a = 5.002 Å, b = 5.886 Å, c = 10.285 Å
α = 90.12°, β = 98.35°, γ = 106.04°
Space group P1 (No. 1)
Symmetry-distinct sites (fractional):
Li 0.000 0.000 0.000 (multiplicity 1)
Li 0.000 0.248 0.757 (multiplicity 1)
Li 0.007 0.745 0.238 (multiplicity 1)
Li 0.488 0.615 0.363 (multiplicity 1)
Li 0.491 0.373 0.623 (multiplicity 1)
Li 0.506 0.123 0.880 (multiplicity 1)
Li 0.506 0.872 0.121 (multiplicity 1)
Li 0.996 0.494 0.487 (multiplicity 1)
Li 0.998 0.245 0.244 (multiplicity 1)
Mn 0.492 0.120 0.366 (multiplicity 1)
Mn 0.992 0.994 0.491 (multiplicity 1)
Co 0.495 0.371 0.127 (multiplicity 1)
Co 0.497 0.872 0.620 (multiplicity 1)
Co 0.504 0.620 0.876 (multiplicity 1)
Co 0.995 0.747 0.748 (multiplicity 1)
Co 0.996 0.486 0.003 (multiplicity 1)
O 0.235 0.829 0.430 (multiplicity 1)
O 0.238 0.039 0.666 (multiplicity 1)
O 0.241 0.275 0.436 (multiplicity 1)
O 0.249 0.788 0.926 (multiplicity 1)
O 0.251 0.587 0.681 (multiplicity 1)
O 0.259 0.319 0.938 (multiplicity 1)
O 0.259 0.550 0.176 (multiplicity 1)
O 0.278 0.064 0.197 (multiplicity 1)
O 0.721 0.407 0.316 (multiplicity 1)
O 0.734 0.157 0.548 (multiplicity 1)
O 0.745 0.943 0.327 (multiplicity 1)
O 0.746 0.449 0.810 (multiplicity 1)
O 0.748 0.711 0.561 (multiplicity 1)
O 0.749 0.677 0.055 (multiplicity 1)
O 0.754 0.208 0.060 (multiplicity 1)
O 0.758 0.924 0.804 (multiplicity 1)

Top 10 peaks for 10 to 90 degrees two-theta, sorted by position:
2θ (°)  Rel. int.  h k l
18.30  100  0 1 1
35.46  15  1 -1 3
35.93  14  1 1 -3
36.56  12  -2 1 1
42.82  29  1 0 4
43.51  28  1 2 -2
44.27  26  -2 2 2
47.55  9  2 1 1
62.69  15  2 2 2
62.82  7  -1 2 6

Copy entry 1 word for word.
Diffraction record for SrPrEuNiO6. The X-ray powder pattern is simulated, not measured: it uses a crystal structure in the Materials Project, relaxed with GGA+U and Cu Kα (λ = 1.5418 Å).
Lines closer than 0.1° are merged.

a = 8.106 Å, b = 8.106 Å, c = 8.106 Å
α = 90.00°, β = 90.00°, γ = 90.00°
Space group F-43m (No. 216)
Symmetry-distinct sites (fractional):
Sr 0.000 0.000 0.000 (multiplicity 4)
Pr 0.000 0.000 0.500 (multiplicity 4)
Eu 0.250 0.250 0.250 (multiplicity 4)
Ni 0.250 0.250 0.750 (multiplicity 4)
O 0.019 0.250 0.750 (multiplicity 24)

Top 10 peaks for 10 to 90 degrees two-theta, sorted by position:
2θ (°)  Rel. int.  h k l
18.96  10  1 1 1
31.21  100  2 2 0
36.77  8  3 1 1
38.47  2  2 2 2
44.72  31  4 0 0
48.98  5  3 3 1
55.54  39  4 2 2
65.09  18  4 4 0
73.95  17  6 2 0
82.43  6  4 4 4